Starting from a GGA-PBE-relaxed structure, the PXRD pattern of MgNiSnSe was computed for λ = 1.5418 Å (Cu Kα).

Structure:
a b c (Å): 4.1702 4.2351 6.5264
angles (deg): 71.15 71.38 60.72
Positions (direct):
Mg 0.0000 0.0000 0.0000
Ni 0.1477 0.1521 0.5565
Sn 0.4492 0.4640 0.6434
Se 0.2750 0.2822 0.1691

Top 12 peaks for 10 to 80 degrees two-theta, sorted by position:
2θ (°)	intensity
14.6	37
24.6	48
25.0	100
29.5	52
31.3	14
31.5	26
35.0	18
42.6	52
42.8	74
43.4	30
52.7	20
53.3	20



Starting from a GGA-PBE-relaxed structure, the PXRD pattern of NaAcCuO3 was computed for λ = 1.5418 Å (Cu Kα).

Structure:
a b c (Å): 7.0502 3.8958 8.2130
angles (deg): 90.00 109.39 90.00
Positions (direct):
Na 0.1736 0.2500 0.1428
Na 0.8264 0.7500 0.8572
Ac 0.2841 0.7500 0.8177
Ac 0.7159 0.2500 0.1823
Cu 0.4702 0.7500 0.3685
Cu 0.5298 0.2500 0.6315
O 0.0842 0.2500 0.8336
O 0.4443 0.7500 0.1291
O 0.4898 0.2500 0.3887
O 0.5102 0.7500 0.6113
O 0.5557 0.2500 0.8709
O 0.9158 0.7500 0.1664

Top 12 peaks for 10 to 80 degrees two-theta, sorted by position:
2θ (°)	intensity
13.3	85
14.4	71
20.3	99
23.0	42
25.6	55
26.5	90
29.0	43
32.2	58
32.6	83
34.4	100
38.3	34
44.1	34



Starting from a GGA-PBE-relaxed structure, the PXRD pattern of Ho3Se3N was computed for λ = 1.5418 Å (Cu Kα).

Structure:
a b c (Å): 7.6928 7.6928 12.5652
angles (deg): 106.94 106.94 82.50
Positions (direct):
Ho 0.0218 0.3396 0.8830
Ho 0.0629 0.7876 0.8771
Ho 0.2124 0.9371 0.6229
Ho 0.2474 0.3908 0.6127
Ho 0.3396 0.0218 0.3830
Ho 0.3908 0.2474 0.1127
Ho 0.6092 0.7526 0.8873
Ho 0.6604 0.9782 0.6170
Ho 0.7526 0.6092 0.3873
Ho 0.7876 0.0629 0.3771
Ho 0.9371 0.2124 0.1229
Ho 0.9782 0.6604 0.1170
Se 0.0416 0.3073 0.3722
Se 0.0729 0.7818 0.3732
Se 0.2182 0.9271 0.1268
Se 0.3073 0.0416 0.8722
Se 0.3340 0.5050 0.8590
Se 0.4950 0.6660 0.6410
Se 0.5050 0.3340 0.3590
Se 0.6660 0.4950 0.1410
Se 0.6927 0.9584 0.1278
Se 0.7818 0.0729 0.8732
Se 0.9271 0.2182 0.6268
Se 0.9584 0.6927 0.6278
N 0.1096 0.3755 0.0759
N 0.3755 0.1096 0.5759
N 0.6245 0.8904 0.4241
N 0.8904 0.6245 0.9241

Top 12 peaks for 10 to 80 degrees two-theta, sorted by position:
2θ (°)	intensity
12.0	22
15.9	25
27.4	23
27.7	47
27.8	23
30.9	100
31.0	95
35.4	48
42.5	39
46.2	35
47.7	41
47.8	26